1.
Starting from a structure optimized by DFT (GGA-PBE), the PXRD pattern of ScMo3 was computed for a wavelength of 1.5418 Å.
Kinematic intensities with the Lorentz-polarization factor, no thermal factor.

Most intense lines, 5 to 70 degrees two-theta, by angle:
2θ/deg, I (rel.)
13.1, 24
28.1, 3
38.9, 100
40.1, 49
42.4, 5
49.6, 10
54.3, 7
58.0, 16
59.8, 2
69.6, 16

Cell and atoms:
```
4
Lattice="3.178 0.000 0.000 0.000 3.178 0.000 0.000 0.000 6.762" Properties=species:S:1:pos:R:3 pbc="T T T"
Sc 0.000 0.000 0.000
Mo 0.000 0.000 3.381
Mo 1.589 1.589 1.865
Mo 1.589 1.589 4.897
```

***

2.
Starting from a structure optimized by DFT (GGA-PBE), the PXRD pattern of InCuTeSe was computed for a wavelength of 1.5418 Å.
Kinematic intensities with the Lorentz-polarization factor, no thermal factor.

Most intense lines, 5 to 70 degrees two-theta, by angle:
2θ/deg, I (rel.)
25.3, 100
26.3, 4
41.9, 24
42.0, 49
49.6, 28
49.8, 15
60.7, 7
61.1, 4
66.8, 5
67.0, 11

Cell and atoms:
```
8
Lattice="-3.035 3.051 6.108 3.035 -3.051 6.108 3.035 3.051 -6.108" Properties=species:S:1:pos:R:3 pbc="T T T"
In 3.035 1.525 -1.601
In 0.000 1.525 1.601
Cu 3.035 1.525 4.431
Cu 0.000 1.525 7.785
Te 1.517 3.292 0.000
Te 1.517 2.809 6.108
Se 1.682 0.000 3.054
Se 1.353 0.000 9.162
```

***

3.
Starting from a structure optimized by DFT (GGA-PBE), the PXRD pattern of Li2LaAl9 was computed for a wavelength of 1.5418 Å.
Kinematic intensities with the Lorentz-polarization factor, no thermal factor.

Most intense lines, 5 to 70 degrees two-theta, by angle:
2θ/deg, I (rel.)
10.1, 100
19.7, 33
22.9, 55
25.1, 28
32.2, 28
33.1, 26
33.9, 39
37.5, 31
38.0, 26
38.4, 86

Cell and atoms:
```
12
Lattice="2.777 1.604 8.737 -2.777 1.604 8.737 0.000 -3.207 8.737" Properties=species:S:1:pos:R:3 pbc="T T T"
Li 0.000 0.000 3.755
Li 0.000 0.000 22.457
La 0.000 0.000 0.000
Al -1.421 -0.820 10.970
Al 0.000 0.000 8.777
Al 0.000 -1.641 15.242
Al -1.421 0.820 15.242
Al 0.000 0.000 13.106
Al 1.421 -0.820 10.970
Al 0.000 1.641 10.970
Al 0.000 0.000 17.435
Al 1.421 0.820 15.242
```

***

4.
Starting from a structure optimized by DFT (GGA-PBE), the PXRD pattern of ZrSc3Cd4 was computed for a wavelength of 1.5418 Å.
Kinematic intensities with the Lorentz-polarization factor, no thermal factor.

Most intense lines, 5 to 70 degrees two-theta, by angle:
2θ/deg, I (rel.)
24.8, 7
25.4, 14
35.8, 100
36.2, 48
44.4, 6
50.9, 9
52.2, 16
57.7, 3
64.1, 17
64.9, 32

Cell and atoms:
```
8
Lattice="4.958 0.000 0.000 0.000 4.958 0.000 0.000 0.000 7.179" Properties=species:S:1:pos:R:3 pbc="T T T"
Zr 0.000 0.000 0.000
Sc 0.000 0.000 3.590
Sc 2.479 2.479 0.000
Sc 2.479 2.479 3.590
Cd 0.000 2.479 1.825
Cd 0.000 2.479 5.355
Cd 2.479 0.000 1.825
Cd 2.479 0.000 5.355
```

***

5.
Starting from a structure optimized by DFT (GGA-PBE), the PXRD pattern of InSi5 was computed for a wavelength of 1.5418 Å.
Kinematic intensities with the Lorentz-polarization factor, no thermal factor.

Most intense lines, 5 to 70 degrees two-theta, by angle:
2θ/deg, I (rel.)
20.1, 19
21.3, 39
25.8, 31
29.5, 42
31.4, 28
37.5, 100
38.4, 19
40.1, 29
40.8, 28
58.6, 18

Cell and atoms:
```
6
Lattice="4.419 0.000 0.000 0.000 2.248 5.534 0.000 -2.248 5.534" Properties=species:S:1:pos:R:3 pbc="T T T"
In 0.000 0.000 0.000
Si 0.000 0.000 3.455
Si 0.000 0.000 7.731
Si 2.209 0.000 2.301
Si 2.209 0.000 6.507
Si 2.209 0.000 9.112
```

***

6.
Starting from a structure optimized by DFT (GGA-PBE), the PXRD pattern of Ca3Ag5 was computed for a wavelength of 1.5418 Å.
Kinematic intensities with the Lorentz-polarization factor, no thermal factor.

Most intense lines, 5 to 70 degrees two-theta, by angle:
2θ/deg, I (rel.)
21.2, 70
28.1, 17
32.4, 100
35.4, 41
37.4, 73
42.7, 23
43.1, 27
43.4, 67
58.4, 37
68.1, 15

Cell and atoms:
```
8
Lattice="7.340 0.000 0.000 -3.670 6.357 0.000 0.000 0.000 4.200" Properties=species:S:1:pos:R:3 pbc="T T T"
Ca -1.380 2.391 0.000
Ca 2.760 0.000 0.000
Ca 2.290 3.966 0.000
Ag -2.815 4.875 2.100
Ag 0.855 1.481 2.100
Ag 0.000 4.238 2.100
Ag 3.670 2.119 2.100
Ag 5.629 0.000 2.100
```